[1]
Theoretical powder diffraction line list of ReSiPt2 for Cu Kα, from the PBE geometry in Alexandria.
Intensities are scaled so that the largest is 100.

Peak list (6 most intense, 10° ≤ 2θ ≤ 80°, sorted by position)
d 3.168, I = 29.5; d 2.232, I = 100.0; d 2.219, I = 83.7; d 2.211, I = 59.8; d 1.958, I = 30.5; d 1.466, I = 33.1

Crystal structure
```
4
Lattice="3.9169 0.0000 0.0000 0.0000 1.4030 5.3848 0.0000 -1.4030 5.3848" Properties=species:S:1:pos:R:3 pbc="T T T"
Re 0.0000 0.0000 0.0000
Si 1.9585 0.0000 6.3968
Pt 0.0000 0.0000 7.8585
Pt 1.9585 0.0000 3.9498
```

=====

[2]
Theoretical powder diffraction line list of Tb2Y3HoSe6 for Cu Kα, from the PBE geometry in Alexandria.
Intensities are scaled so that the largest is 100.

Peak list (6 most intense, 10° ≤ 2θ ≤ 80°, sorted by position)
d 2.887, I = 100.0; d 2.046, I = 36.9; d 2.038, I = 36.5; d 1.669, I = 19.3; d 1.294, I = 10.9; d 1.290, I = 10.8

Crystal structure
```
12
Lattice="3.5216 -6.1393 0.0000 3.5216 6.1393 0.0000 -2.3603 0.0000 6.6807" Properties=species:S:1:pos:R:3 pbc="T T T"
Tb 3.5216 4.0888 0.0000
Tb 3.5216 -4.0888 0.0000
Y -1.1802 0.0000 3.3403
Y 2.3415 2.0718 3.3403
Y 2.3415 -2.0718 3.3403
Ho 3.5216 0.0000 0.0000
Se 0.0002 2.0292 5.0167
Se 1.1893 0.0000 1.6738
Se 0.0002 -2.0292 5.0167
Se 4.6827 2.0292 1.6640
Se 3.4937 0.0000 5.0069
Se 4.6827 -2.0292 1.6640
```

=====

[3]
Theoretical powder diffraction line list of US2 for Cu Kα, from the PBE geometry in Alexandria.
Intensities are scaled so that the largest is 100.

Peak list (6 most intense, 10° ≤ 2θ ≤ 80°, sorted by position)
d 3.497, I = 100.0; d 3.351, I = 35.0; d 2.328, I = 24.3; d 2.303, I = 54.8; d 1.840, I = 27.8; d 1.798, I = 22.7

Crystal structure
```
15
Lattice="-5.2990 5.2990 2.5910 5.2990 -5.2990 2.5910 5.2990 5.2990 -2.5910" Properties=species:S:1:pos:R:3 pbc="T T T"
U 0.0000 0.0000 0.0000
U 7.0236 -1.7246 1.2955
U 3.5743 1.7246 1.2955
U -1.7246 3.5743 1.2955
U 1.7246 7.0236 1.2955
S 5.2990 0.0000 0.0000
S 4.4372 2.9748 -1.3117
S 2.3241 -0.8618 1.2793
S 2.9748 6.1607 -1.3117
S 0.8618 2.3241 1.2793
S 0.0000 5.2990 0.0000
S 6.1607 2.9748 1.3117
S 2.9748 4.4372 1.3117
S 2.3241 0.8618 3.9028
S -0.8618 2.3241 3.9028
```